(1)
This entry pairs a crystal structure of PBrF with its calculated X-ray diffraction stick pattern. Radiation: Cu Kα, 1.54184 Å. Structure: a DFT-relaxed cell (GGA-PBE, Alexandria).
Kinematic intensities with the Lorentz-polarization factor, no thermal factor.

Atomic structure:
```
data_PBrF
_chemical_formula_sum 'P2 Br2 F2'
_cell_length_a 5.2753
_cell_length_b 5.5213
_cell_length_c 7.1115
_cell_angle_alpha 67.89
_cell_angle_beta 76.24
_cell_angle_gamma 85.57
_space_group_name_H-M_alt 'P 1'
_space_group_IT_number 1
loop_
_space_group_symop_operation_xyz
'x,y,z'
loop_
_atom_site_label
_atom_site_type_symbol
_atom_site_fract_x
_atom_site_fract_y
_atom_site_fract_z
_atom_site_occupancy
P1 P 0.0000 0.0000 0.0000 1
P2 P 0.0356 0.5828 0.9965 1
Br1 Br 0.6738 0.8699 0.2860 1
Br2 Br 0.7996 0.1334 0.7333 1
F1 F 0.2023 0.4641 0.1738 1
F2 F 0.2760 0.6430 0.7948 1
```

Main lines, in order of rising 2θ (2θ = 15–90°):
index	two_theta	I (rel.)
1 0 0	17.32	99
1 1 1	22.73	100
1 -1 0	24.42	64
0 1 2	26.80	35
1 0 2	29.34	44
0 2 1	32.55	61

---

(2)
This entry pairs a crystal structure of Ba3CaOs2N6 with its calculated X-ray diffraction stick pattern. Radiation: Cu Kα, 1.54184 Å. Structure: a DFT-relaxed cell (GGA-PBE, Alexandria).
Kinematic intensities with the Lorentz-polarization factor, no thermal factor.

Atomic structure:
```
data_Ba3CaOs2N6
_chemical_formula_sum 'Ba3 Ca1 Os2 N6'
_cell_length_a 6.2964
_cell_length_b 6.2964
_cell_length_c 7.2791
_cell_angle_alpha 90.00
_cell_angle_beta 90.00
_cell_angle_gamma 120.00
_space_group_name_H-M_alt 'P -3 m 1'
_space_group_IT_number 164
_space_group_name_Hall '-P 3 2"'
loop_
_atom_site_label
_atom_site_type_symbol
_atom_site_fract_x
_atom_site_fract_y
_atom_site_fract_z
_atom_site_occupancy
Ba1 Ba 0.0000 0.0000 0.0000 1
Ba2 Ba 0.3333 0.6667 0.7088 1
Ca1 Ca 0.0000 0.0000 0.5000 1
Os1 Os 0.3333 0.6667 0.2386 1
N1 N 0.1713 0.3426 0.2853 1
```

Main lines, in order of rising 2θ (2θ = 15–90°):
index	two_theta	I (rel.)
1 1 0	28.35	100
0 1 2	29.51	70
2 0 2	41.38	34
3 0 0	50.18	26
1 2 2	50.92	30
2 2 0	58.62	34